Entry 1:
This entry pairs a crystal structure of Rb2CoNiSe4 with its calculated powder diffraction line list. Radiation: Cu Kα, 1.54184 Å. Structure: the PBE geometry in Alexandria.

Top 10 peaks for 10 to 90 degrees two-theta, in order of rising 2θ:
15.00 deg, I = 62; 25.34 deg, I = 23; 26.14 deg, I = 30; 27.53 deg, I = 100; 30.28 deg, I = 25; 31.50 deg, I = 83; 39.01 deg, I = 37; 46.12 deg, I = 22; 50.16 deg, I = 25; 51.42 deg, I = 33

Cell and atoms:
```
Rb2CoNiSe4
1.0
0.000 6.818 11.808
2.851 0.000 11.808
2.851 6.818 0.000
Rb Co Ni Se
4 2 2 8
direct
0.057 0.057 0.693
0.307 0.307 0.943
0.693 0.693 0.057
0.943 0.943 0.307
0.375 0.375 0.375
0.625 0.625 0.625
0.125 0.125 0.125
0.875 0.875 0.875
0.015 0.345 0.419
0.279 0.581 0.655
0.345 0.015 0.721
0.419 0.721 0.015
0.581 0.279 0.985
0.655 0.985 0.279
0.721 0.419 0.345
0.985 0.655 0.581
```

Entry 2:
This entry pairs a crystal structure of K5Cd3Au3 with its calculated powder diffraction line list. Radiation: Cu Kα, 1.54184 Å. Structure: the PBE geometry in Alexandria.

Top 10 peaks for 10 to 90 degrees two-theta, in order of rising 2θ:
16.39 deg, I = 13; 17.50 deg, I = 100; 26.88 deg, I = 18; 30.56 deg, I = 35; 33.13 deg, I = 15; 35.43 deg, I = 14; 36.93 deg, I = 15; 37.71 deg, I = 31; 45.69 deg, I = 23; 50.44 deg, I = 12

Cell and atoms:
```
K5Cd3Au3
1.0
10.134 0.000 0.000
-5.067 8.776 0.000
0.000 0.000 5.409
K Cd Au
5 3 3
direct
0.000 0.258 0.000
0.258 0.000 0.000
0.333 0.667 0.000
0.667 0.333 0.000
0.742 0.742 0.000
0.000 0.624 0.500
0.376 0.376 0.500
0.624 0.000 0.500
0.000 0.628 0.000
0.372 0.372 0.000
0.628 0.000 0.000
```